# 1
For La4Pr2In, DFT lattice parameters and positions (GGA-PBE) gives the computed X-ray powder pattern in this record (Cu Kα X-rays).

Structure:
a b c (Å): 6.562 12.822 6.582
angles (deg): 90.00 119.62 90.00
Space group P2_1/c (No. 14)
Inequivalent atoms, fractional coordinates:
1 La 0.093 0.172 0.315 (multiplicity 4)
2 La 0.395 0.748 0.693 (multiplicity 4)
3 Pr 0.181 0.053 0.853 (multiplicity 4)
4 In 0.500 0.000 0.500 (multiplicity 2)

The 6 most intense peaks (10 to 90 degrees two-theta), low angle first:
- 2θ = 26.05°, I = 304
- 2θ = 27.86°, I = 241
- 2θ = 30.54°, I = 342
- 2θ = 32.04°, I = 1000
- 2θ = 32.15°, I = 386
- 2θ = 34.31°, I = 405

# 2
For LaIn9Pt2, DFT lattice parameters and positions (GGA-PBE) gives the computed X-ray powder pattern in this record (Cu Kα X-rays).

Structure:
a b c (Å): 12.671 12.671 7.263
angles (deg): 90.00 90.00 90.00
Space group I4_1/amd (No. 141, origin choice 2)
Inequivalent atoms, fractional coordinates:
1 La 0.000 0.250 0.375 (multiplicity 4)
2 In 0.000 0.250 0.875 (multiplicity 4)
3 In 0.120 0.068 0.669 (multiplicity 32)
4 Pt 0.000 0.000 0.000 (multiplicity 8)

The 6 most intense peaks (10 to 90 degrees two-theta), low angle first:
- 2θ = 28.21°, I = 404
- 2θ = 31.58°, I = 434
- 2θ = 33.30°, I = 1000
- 2θ = 37.60°, I = 995
- 2θ = 40.27°, I = 353
- 2θ = 40.38°, I = 428

# 3
For LaIn6Pt3, DFT lattice parameters and positions (GGA-PBE) gives the computed X-ray powder pattern in this record (Cu Kα X-rays).

Structure:
a b c (Å): 9.869 4.544 10.271
angles (deg): 90.00 94.66 90.00
Space group P2_1/m (No. 11)
Inequivalent atoms, fractional coordinates:
1 La 0.097 0.250 0.258 (multiplicity 2)
2 In 0.086 0.250 0.922 (multiplicity 2)
3 In 0.127 0.750 0.498 (multiplicity 2)
4 In 0.270 0.750 0.786 (multiplicity 2)
5 In 0.341 0.750 0.292 (multiplicity 2)
6 In 0.370 0.250 0.559 (multiplicity 2)
7 In 0.396 0.250 0.064 (multiplicity 2)
8 Pt 0.121 0.250 0.658 (multiplicity 2)
9 Pt 0.201 0.750 0.044 (multiplicity 2)
10 Pt 0.491 0.250 0.327 (multiplicity 2)

The 6 most intense peaks (10 to 90 degrees two-theta), low angle first:
- 2θ = 32.83°, I = 1000
- 2θ = 33.71°, I = 608
- 2θ = 39.67°, I = 702
- 2θ = 42.19°, I = 401
- 2θ = 43.37°, I = 379
- 2θ = 44.28°, I = 307

# 4
For La8InPt2, DFT lattice parameters and positions (GGA-PBE) gives the computed X-ray powder pattern in this record (Cu Kα X-rays).

Structure:
a b c (Å): 9.146 14.182 5.613
angles (deg): 90.00 103.59 90.00
Space group C2/m (No. 12)
Inequivalent atoms, fractional coordinates:
1 La 0.000 0.247 0.000 (multiplicity 4)
2 La 0.107 0.000 0.803 (multiplicity 4)
3 La 0.190 0.380 0.560 (multiplicity 8)
4 In 0.000 0.500 0.000 (multiplicity 2)
5 Pt 0.000 0.189 0.500 (multiplicity 4)

The 6 most intense peaks (10 to 90 degrees two-theta), low angle first:
- 2θ = 16.25°, I = 393
- 2θ = 30.06°, I = 1000
- 2θ = 31.43°, I = 989
- 2θ = 32.30°, I = 669
- 2θ = 35.76°, I = 560
- 2θ = 36.02°, I = 479

# 5
For La11In9Pt4, DFT lattice parameters and positions (GGA-PBE) gives the computed X-ray powder pattern in this record (Cu Kα X-rays).

Structure:
a b c (Å): 15.220 22.813 3.913
angles (deg): 90.00 90.00 90.00
Space group Cmmm (No. 65)
Inequivalent atoms, fractional coordinates:
1 La 0.000 0.000 0.000 (multiplicity 2)
2 La 0.000 0.161 0.000 (multiplicity 4)
3 La 0.000 0.373 0.000 (multiplicity 4)
4 La 0.190 0.500 0.000 (multiplicity 4)
5 La 0.244 0.171 0.000 (multiplicity 8)
6 In 0.000 0.500 0.500 (multiplicity 2)
7 In 0.102 0.263 0.500 (multiplicity 8)
8 In 0.147 0.070 0.500 (multiplicity 8)
9 Pt 0.154 0.399 0.500 (multiplicity 8)

The 6 most intense peaks (10 to 90 degrees two-theta), low angle first:
- 2θ = 31.17°, I = 142
- 2θ = 32.84°, I = 1000
- 2θ = 33.31°, I = 378
- 2θ = 34.99°, I = 236
- 2θ = 46.41°, I = 169
- 2θ = 58.32°, I = 150

# 6
For La2Zn3InPt4, DFT lattice parameters and positions (GGA-PBE) gives the computed X-ray powder pattern in this record (Cu Kα X-rays).

Structure:
a b c (Å): 4.269 4.269 11.184
angles (deg): 90.00 90.00 90.00
Space group P-4m2 (No. 115)
Inequivalent atoms, fractional coordinates:
1 La 0.000 0.500 0.238 (multiplicity 2)
2 Zn 0.000 0.500 0.874 (multiplicity 2)
3 Zn 0.500 0.500 0.500 (multiplicity 1)
4 In 0.000 0.000 0.500 (multiplicity 1)
5 Pt 0.000 0.000 0.000 (multiplicity 1)
6 Pt 0.000 0.500 0.650 (multiplicity 2)
7 Pt 0.500 0.500 0.000 (multiplicity 1)

The 6 most intense peaks (10 to 90 degrees two-theta), low angle first:
- 2θ = 31.87°, I = 295
- 2θ = 33.74°, I = 1000
- 2θ = 42.34°, I = 542
- 2θ = 44.15°, I = 297
- 2θ = 45.80°, I = 254
- 2θ = 71.95°, I = 222

# 7
For La3PuIn12, DFT lattice parameters and positions (GGA-PBE) gives the computed X-ray powder pattern in this record (Cu Kα X-rays).

Structure:
a b c (Å): 4.756 4.756 19.001
angles (deg): 90.00 90.00 90.00
Space group P4/mmm (No. 123)
Inequivalent atoms, fractional coordinates:
1 La 0.000 0.000 0.000 (multiplicity 1)
2 La 0.000 0.000 0.253 (multiplicity 2)
3 Pu 0.000 0.000 0.500 (multiplicity 1)
4 In 0.000 0.500 0.127 (multiplicity 4)
5 In 0.000 0.500 0.380 (multiplicity 4)
6 In 0.500 0.500 0.000 (multiplicity 1)
7 In 0.500 0.500 0.252 (multiplicity 2)
8 In 0.500 0.500 0.500 (multiplicity 1)

The 6 most intense peaks (10 to 90 degrees two-theta), low angle first:
- 2θ = 32.63°, I = 1000
- 2θ = 37.85°, I = 499
- 2θ = 54.60°, I = 336
- 2θ = 65.07°, I = 390
- 2θ = 68.36°, I = 112
- 2θ = 89.96°, I = 166

# 8
For La2InRe, DFT lattice parameters and positions (GGA-PBE) gives the computed X-ray powder pattern in this record (Cu Kα X-rays).

Structure:
a b c (Å): 3.581 5.166 11.612
angles (deg): 90.00 90.00 90.00
Space group Imm2 (No. 44)
Inequivalent atoms, fractional coordinates:
1 La 0.000 0.000 0.000 (multiplicity 2)
2 La 0.000 0.500 0.191 (multiplicity 2)
3 In 0.000 0.500 0.799 (multiplicity 2)
4 Re 0.000 0.000 0.484 (multiplicity 2)

The 6 most intense peaks (10 to 90 degrees two-theta), low angle first:
- 2θ = 18.80°, I = 121
- 2θ = 30.80°, I = 150
- 2θ = 34.15°, I = 1000
- 2θ = 34.73°, I = 261
- 2θ = 61.89°, I = 158
- 2θ = 72.64°, I = 121

# 9
For LaIn2Re, DFT lattice parameters and positions (GGA-PBE) gives the computed X-ray powder pattern in this record (Cu Kα X-rays).

Structure:
a b c (Å): 4.668 4.668 8.347
angles (deg): 90.00 90.00 90.00
Space group I4/mmm (No. 139)
Inequivalent atoms, fractional coordinates:
1 La 0.000 0.000 0.000 (multiplicity 2)
2 In 0.000 0.500 0.250 (multiplicity 4)
3 Re 0.000 0.000 0.500 (multiplicity 2)

The 6 most intense peaks (10 to 90 degrees two-theta), low angle first:
- 2θ = 34.65°, I = 1000
- 2θ = 38.57°, I = 372
- 2θ = 43.36°, I = 134
- 2θ = 55.70°, I = 127
- 2θ = 59.41°, I = 208
- 2θ = 67.28°, I = 286

# 10
For LaInRh2, DFT lattice parameters and positions (GGA-PBE) gives the computed X-ray powder pattern in this record (Cu Kα X-rays).

Structure:
a b c (Å): 3.998 3.998 10.021
angles (deg): 90.00 90.00 90.00
Space group I-4m2 (No. 119)
Inequivalent atoms, fractional coordinates:
1 La 0.000 0.000 0.000 (multiplicity 2)
2 In 0.000 0.500 0.250 (multiplicity 2)
3 Rh 0.000 0.000 0.500 (multiplicity 2)
4 Rh 0.000 0.500 0.750 (multiplicity 2)

The 6 most intense peaks (10 to 90 degrees two-theta), low angle first:
- 2θ = 35.84°, I = 263
- 2θ = 36.49°, I = 1000
- 2θ = 45.37°, I = 268
- 2θ = 59.12°, I = 240
- 2θ = 64.84°, I = 181
- 2θ = 77.93°, I = 212

# 11
For La2InRh4, DFT lattice parameters and positions (GGA-PBE) gives the computed X-ray powder pattern in this record (Cu Kα X-rays).

Structure:
a b c (Å): 4.954 4.954 13.817
angles (deg): 90.00 90.00 90.00
Space group I4/mmm (No. 139)
Inequivalent atoms, fractional coordinates:
1 La 0.000 0.000 0.142 (multiplicity 4)
2 In 0.000 0.000 0.500 (multiplicity 2)
3 Rh 0.000 0.000 0.312 (multiplicity 4)
4 Rh 0.000 0.500 0.000 (multiplicity 4)

The 6 most intense peaks (10 to 90 degrees two-theta), low angle first:
- 2θ = 25.42°, I = 585
- 2θ = 28.57°, I = 533
- 2θ = 36.26°, I = 1000
- 2θ = 37.26°, I = 408
- 2θ = 52.22°, I = 346
- 2θ = 54.40°, I = 375

# 12
For LaIn3Rh, DFT lattice parameters and positions (GGA-PBE) gives the computed X-ray powder pattern in this record (Cu Kα X-rays).

Structure:
a b c (Å): 9.190 4.525 11.732
angles (deg): 90.00 90.00 90.00
Space group Pnma (No. 62)
Inequivalent atoms, fractional coordinates:
1 La 0.202 0.250 0.007 (multiplicity 4)
2 In 0.054 0.250 0.587 (multiplicity 4)
3 In 0.102 0.750 0.795 (multiplicity 4)
4 In 0.148 0.750 0.212 (multiplicity 4)
5 Rh 0.118 0.250 0.357 (multiplicity 4)

The 6 most intense peaks (10 to 90 degrees two-theta), low angle first:
- 2θ = 31.67°, I = 836
- 2θ = 31.77°, I = 1000
- 2θ = 36.23°, I = 502
- 2θ = 39.64°, I = 283
- 2θ = 39.84°, I = 492
- 2θ = 67.28°, I = 202

# 13
For La3SmInRh, DFT lattice parameters and positions (GGA-PBE) gives the computed X-ray powder pattern in this record (Cu Kα X-rays).

Structure:
a b c (Å): 6.104 7.562 15.686
angles (deg): 90.00 90.00 90.00
Space group Immm (No. 71)
Inequivalent atoms, fractional coordinates:
1 La 0.000 0.000 0.185 (multiplicity 4)
2 La 0.000 0.247 0.379 (multiplicity 8)
3 Sm 0.000 0.297 0.000 (multiplicity 4)
4 In 0.000 0.500 0.192 (multiplicity 4)
5 Rh 0.236 0.500 0.500 (multiplicity 4)

The 6 most intense peaks (10 to 90 degrees two-theta), low angle first:
- 2θ = 29.26°, I = 371
- 2θ = 32.08°, I = 695
- 2θ = 32.70°, I = 1000
- 2θ = 39.66°, I = 394
- 2θ = 54.11°, I = 207
- 2θ = 61.31°, I = 305